1.
# CsAlH2
Simulated X-ray diffraction stick pattern, λ = 1.5418 Å (Cu Kα). Input: a cell relaxed with PBE.

Main lines, most intense first (2θ from 10° to 90°):
(2 0 2), 2θ = 29.3°, rel. 100; (1 0 1), 2θ = 14.5°, rel. 54; (0 0 4), 2θ = 26.5°, rel. 34; (2 2 4), 2θ = 46.3°, rel. 29; (2 2 0), 2θ = 37.2°, rel. 27; (2 0 6), 2θ = 48.6°, rel. 24; (4 2 2), 2θ = 62.3°, rel. 24; (2 1 1), 2θ = 30.0°, rel. 21; (1 0 3), 2θ = 23.7°, rel. 17; (4 2 6), 2θ = 75.2°, rel. 15

Atomic structure:
Cell: 6.839 6.839 13.441 Å, 90.00 90.00 90.00°
Space group I4_1/a (No. 88, origin choice 2)
Symmetry-distinct sites (fractional):
Cs (0.000, 0.000, 0.000)
Al (0.000, 0.000, 0.500)
H (0.004, 0.095, 0.781)

2.
# CsNb4Br11
Simulated X-ray diffraction stick pattern, λ = 1.5418 Å (Cu Kα). Input: a cell relaxed with PBE.

Main lines, most intense first (2θ from 10° to 90°):
(4 2 1), 2θ = 34.2°, rel. 100; (0 0 1), 2θ = 11.9°, rel. 88; (3 2 1), 2θ = 31.1°, rel. 86; (0 2 3), 2θ = 43.8°, rel. 63; (4 0 2), 2θ = 31.8°, rel. 44; (6 0 0), 2θ = 31.4°, rel. 28; (2 2 1), 2θ = 28.8°, rel. 26; (0 4 0), 2θ = 49.0°, rel. 26; (2 0 1), 2θ = 15.8°, rel. 25; (9 2 1), 2θ = 55.7°, rel. 22

Atomic structure:
Cell: 17.089 7.433 7.474 Å, 90.00 90.00 90.00°
Space group Pmma (No. 51)
Symmetry-distinct sites (fractional):
Cs (0.250, 0.000, 0.009)
Nb (0.000, 0.293, 0.500)
Nb (0.139, 0.500, 0.617)
Br (0.077, 0.249, 0.807)
Br (0.084, 0.000, 0.372)
Br (0.087, 0.500, 0.293)
Br (0.250, 0.266, 0.489)
Br (0.250, 0.500, 0.896)

3.
# K3GaF6
Simulated X-ray diffraction stick pattern, λ = 1.5418 Å (Cu Kα). Input: a cell relaxed with PBE.

Main lines, most intense first (2θ from 10° to 90°):
(2 2 0), 2θ = 28.4°, rel. 100; (4 0 0), 2θ = 40.7°, rel. 61; (4 2 2), 2θ = 50.4°, rel. 32; (4 4 0), 2θ = 58.9°, rel. 32; (1 1 1), 2θ = 17.3°, rel. 27; (2 0 0), 2θ = 20.0°, rel. 26; (6 2 0), 2θ = 66.6°, rel. 20; (6 4 2), 2θ = 81.1°, rel. 19; (4 4 4), 2θ = 74.0°, rel. 9; (5 1 1), 2θ = 53.7°, rel. 8

Atomic structure:
Cell: 8.877 8.877 8.877 Å, 90.00 90.00 90.00°
Space group Fm-3m (No. 225)
Symmetry-distinct sites (fractional):
K (0.000, 0.000, 0.000)
K (0.250, 0.250, 0.250)
Ga (0.000, 0.000, 0.500)
F (0.000, 0.000, 0.283)

4.
# YPb2
Simulated X-ray diffraction stick pattern, λ = 1.5418 Å (Cu Kα). Input: a cell relaxed with PBE.

Main lines, most intense first (2θ from 10° to 90°):
(1 3 1), 2θ = 31.8°, rel. 100; (2 0 2), 2θ = 56.6°, rel. 20; (2 0 0), 2θ = 38.8°, rel. 12; (0 0 2), 2θ = 39.5°, rel. 12; (3 3 1), 2θ = 65.9°, rel. 10; (1 3 3), 2θ = 66.8°, rel. 10; (2 6 0), 2θ = 51.1°, rel. 10; (0 6 2), 2θ = 51.6°, rel. 9; (2 6 2), 2θ = 66.4°, rel. 9; (1 1 0), 2θ = 19.9°, rel. 6

Atomic structure:
Cell: 4.637 16.874 4.565 Å, 90.00 90.00 90.00°
Space group Cmcm (No. 63)
Symmetry-distinct sites (fractional):
Y (0.000, 0.097, 0.250)
Pb (0.000, 0.251, 0.750)
Pb (0.000, 0.431, 0.250)